Simulated PXRD pattern of NiTe2 for λ = 1.5418 Å (Cu Kα), from the GGA-PBE geometry in the Materials Project.
Kinematic intensities with the Lorentz-polarization factor, no thermal factor.

Cell and atoms:
a b c (Å): 6.3952 6.3952 6.3952
angles (deg): 90.00 90.00 90.00
Fractional coordinates of all 12 atoms:
Ni 0.0000 0.0000 0.0000
Ni 0.0000 0.5000 0.5000
Ni 0.5000 0.0000 0.5000
Ni 0.5000 0.5000 0.0000
Te 0.1376 0.6376 0.8624
Te 0.1376 0.8624 0.3624
Te 0.3624 0.1376 0.8624
Te 0.3624 0.3624 0.3624
Te 0.6376 0.6376 0.6376
Te 0.6376 0.8624 0.1376
Te 0.8624 0.1376 0.6376
Te 0.8624 0.3624 0.1376

The 10 most intense peaks (15° ≤ 2θ ≤ 90°), in order of rising 2θ:
d [Å], 2θ (°), intensity
2.860, 31.27, 100
2.611, 34.35, 65
1.928, 47.13, 43
1.774, 51.52, 11
1.709, 53.62, 40
1.396, 67.07, 20
1.231, 77.57, 11
1.188, 80.96, 15
1.168, 82.64, 9
1.131, 85.99, 13

Simulated PXRD pattern of Ni3Te for λ = 1.5418 Å (Cu Kα), from the GGA-PBE geometry in the Materials Project.
Kinematic intensities with the Lorentz-polarization factor, no thermal factor.

Cell and atoms:
a b c (Å): 5.3361 5.3361 4.2682
angles (deg): 90.00 90.00 120.00
Fractional coordinates of all 8 atoms:
Ni 0.1611 0.3223 0.2500
Ni 0.1611 0.8389 0.2500
Ni 0.3223 0.1611 0.7500
Ni 0.6777 0.8389 0.2500
Ni 0.8389 0.1611 0.7500
Ni 0.8389 0.6777 0.7500
Te 0.3333 0.6667 0.7500
Te 0.6667 0.3333 0.2500

The 10 most intense peaks (15° ≤ 2θ ≤ 90°), in order of rising 2θ:
d [Å], 2θ (°), intensity
3.135, 28.47, 14
2.668, 33.59, 5
2.311, 38.98, 25
2.134, 42.35, 26
2.032, 44.59, 100
1.568, 58.91, 14
1.334, 70.60, 16
1.211, 79.04, 17
1.131, 85.92, 18
1.115, 87.47, 13

Simulated PXRD pattern of Zr6NiTe2 for λ = 1.5418 Å (Cu Kα), from the GGA-PBE geometry in the Materials Project.
Kinematic intensities with the Lorentz-polarization factor, no thermal factor.

Cell and atoms:
a b c (Å): 7.7238 7.7238 3.7161
angles (deg): 90.00 90.00 120.00
Fractional coordinates of all 9 atoms:
Zr 0.0000 0.2398 0.0000
Zr 0.0000 0.5942 0.5000
Zr 0.2398 0.0000 0.0000
Zr 0.4058 0.4058 0.5000
Zr 0.5942 0.0000 0.5000
Zr 0.7602 0.7602 0.0000
Ni 0.0000 0.0000 0.5000
Te 0.3333 0.6667 0.0000
Te 0.6667 0.3333 0.0000

The 10 most intense peaks (15° ≤ 2θ ≤ 90°), in order of rising 2θ:
d [Å], 2θ (°), intensity
2.678, 33.46, 100
2.528, 35.51, 65
2.486, 36.13, 88
2.230, 40.46, 41
2.090, 43.28, 41
1.857, 49.05, 31
1.497, 61.98, 25
1.427, 65.38, 19
1.418, 65.85, 30
1.359, 69.14, 17

Simulated PXRD pattern of Th2Ni7 for λ = 1.5418 Å (Cu Kα), from the GGA-PBE geometry in the Materials Project.
Kinematic intensities with the Lorentz-polarization factor, no thermal factor.

Cell and atoms:
a b c (Å): 12.7393 12.7393 12.7393
angles (deg): 22.53 22.53 22.53
Fractional coordinates of all 18 atoms:
Th 0.0499 0.0499 0.0499
Th 0.1450 0.1450 0.1450
Th 0.8550 0.8550 0.8550
Th 0.9501 0.9501 0.9501
Ni 0.0000 0.5000 0.5000
Ni 0.1077 0.6105 0.6105
Ni 0.2785 0.2785 0.2785
Ni 0.3883 0.3883 0.3883
Ni 0.3895 0.3895 0.8923
Ni 0.3895 0.8923 0.3895
Ni 0.5000 0.0000 0.5000
Ni 0.5000 0.5000 0.0000
Ni 0.5000 0.5000 0.5000
Ni 0.6105 0.1077 0.6105
Ni 0.6105 0.6105 0.1077
Ni 0.6117 0.6117 0.6117
Ni 0.7215 0.7215 0.7215
Ni 0.8923 0.3895 0.3895

The 10 most intense peaks (15° ≤ 2θ ≤ 90°), in order of rising 2θ:
d [Å], 2θ (°), intensity
4.281, 20.75, 29
2.817, 31.76, 66
2.662, 33.67, 58
2.488, 36.10, 69
2.151, 42.00, 44
2.132, 42.39, 100
1.492, 62.21, 20
1.444, 64.54, 21
1.357, 69.23, 23
1.244, 76.59, 24

Simulated PXRD pattern of Th2Ni7 for λ = 1.5418 Å (Cu Kα), from the GGA-PBE geometry in the Materials Project.
Kinematic intensities with the Lorentz-polarization factor, no thermal factor.

Cell and atoms:
a b c (Å): 4.9743 4.9743 24.7620
angles (deg): 90.00 90.00 120.00
Fractional coordinates of all 36 atoms:
Th 0.3333 0.6667 0.0320
Th 0.3333 0.6667 0.1757
Th 0.3333 0.6667 0.3243
Th 0.3333 0.6667 0.4680
Th 0.6667 0.3333 0.5320
Th 0.6667 0.3333 0.6757
Th 0.6667 0.3333 0.8243
Th 0.6667 0.3333 0.9680
Ni 0.0000 0.0000 0.0000
Ni 0.0000 0.0000 0.1674
Ni 0.0000 0.0000 0.3326
Ni 0.0000 0.0000 0.5000
Ni 0.0000 0.0000 0.6674
Ni 0.0000 0.0000 0.8326
Ni 0.1666 0.3332 0.7500
Ni 0.1672 0.3344 0.5855
Ni 0.1672 0.3344 0.9145
Ni 0.1672 0.8328 0.5855
Ni 0.1666 0.8334 0.7500
Ni 0.1672 0.8328 0.9145
Ni 0.3332 0.1666 0.2500
Ni 0.3333 0.6667 0.6675
Ni 0.3333 0.6667 0.8325
Ni 0.3344 0.1672 0.0855
Ni 0.3344 0.1672 0.4145
Ni 0.6656 0.8328 0.5855
Ni 0.6656 0.8328 0.9145
Ni 0.6667 0.3333 0.1675
Ni 0.6667 0.3333 0.3325
Ni 0.6668 0.8334 0.7500
Ni 0.8328 0.1672 0.0855
Ni 0.8334 0.1666 0.2500
Ni 0.8328 0.1672 0.4145
Ni 0.8328 0.6656 0.0855
Ni 0.8328 0.6656 0.4145
Ni 0.8334 0.6668 0.2500

The 10 most intense peaks (15° ≤ 2θ ≤ 90°), in order of rising 2θ:
d [Å], 2θ (°), intensity
4.244, 20.93, 20
2.734, 32.76, 100
2.487, 36.11, 65
2.146, 42.11, 38
2.130, 42.43, 97
1.479, 62.83, 32
1.441, 64.67, 22
1.427, 65.41, 16
1.356, 69.28, 22
1.244, 76.62, 22

Simulated PXRD pattern of Ti2Ni for λ = 1.5418 Å (Cu Kα), from the GGA-PBE geometry in the Materials Project.
Kinematic intensities with the Lorentz-polarization factor, no thermal factor.

Cell and atoms:
a b c (Å): 7.9726 7.9726 7.9726
angles (deg): 60.00 60.00 60.00
Fractional coordinates of all 24 atoms:
Ti 0.0000 0.0000 0.0000
Ti 0.0000 0.0000 0.5000
Ti 0.0000 0.5000 0.0000
Ti 0.1876 0.1876 0.5624
Ti 0.1876 0.5624 0.1876
Ti 0.1876 0.5624 0.5624
Ti 0.4376 0.4376 0.8124
Ti 0.4376 0.8124 0.4376
Ti 0.4376 0.8124 0.8124
Ti 0.5000 0.0000 0.0000
Ti 0.5624 0.1876 0.1876
Ti 0.5624 0.1876 0.5624
Ti 0.5624 0.5624 0.1876
Ti 0.8124 0.4376 0.4376
Ti 0.8124 0.4376 0.8124
Ti 0.8124 0.8124 0.4376
Ni 0.1404 0.7865 0.7865
Ni 0.2135 0.2135 0.2135
Ni 0.2135 0.2135 0.8596
Ni 0.2135 0.8596 0.2135
Ni 0.7865 0.1404 0.7865
Ni 0.7865 0.7865 0.1404
Ni 0.7865 0.7865 0.7865
Ni 0.8596 0.2135 0.2135

The 10 most intense peaks (15° ≤ 2θ ≤ 90°), in order of rising 2θ:
d [Å], 2θ (°), intensity
3.255, 27.40, 7
2.301, 39.14, 26
2.170, 41.62, 100
1.993, 45.51, 24
1.879, 48.44, 11
1.468, 63.36, 6
1.329, 70.93, 24
1.302, 72.62, 7
1.230, 77.61, 7
1.133, 85.74, 15

Simulated PXRD pattern of TiNi for λ = 1.5418 Å (Cu Kα), from the GGA-PBE geometry in the Materials Project.
Kinematic intensities with the Lorentz-polarization factor, no thermal factor.

Cell and atoms:
a b c (Å): 4.2514 2.7414 4.5804
angles (deg): 90.00 90.00 90.00
Fractional coordinates of all 4 atoms:
Ti 0.2500 0.0000 0.2173
Ti 0.7500 0.0000 0.7827
Ni 0.2500 0.5000 0.6902
Ni 0.7500 0.5000 0.3098

The 10 most intense peaks (15° ≤ 2θ ≤ 90°), in order of rising 2θ:
d [Å], 2θ (°), intensity
2.352, 38.26, 8
2.290, 39.34, 25
2.126, 42.53, 31
2.058, 43.99, 100
2.016, 44.96, 17
1.558, 59.31, 14
1.334, 70.61, 7
1.214, 78.85, 15
1.152, 84.01, 7
1.130, 86.05, 8